Diffraction record for Li4V5Fe3O16. The powder diffraction line list is calculated, not measured: it uses DFT lattice parameters and positions (GGA+U) and Cu Kα X-rays.
Intensities are scaled so that the largest is 100.

Cell and atoms:
```
data_Li4V5Fe3O16
_cell_length_a 5.792
_cell_length_b 5.890
_cell_length_c 9.500
_cell_angle_alpha 89.12
_cell_angle_beta 88.61
_cell_angle_gamma 60.72
_symmetry_space_group_name_H-M 'P 1'
_symmetry_Int_Tables_number 1
loop_
_symmetry_equiv_pos_as_xyz
'x,y,z'
loop_
_atom_site_label
_atom_site_type_symbol
_atom_site_fract_x
_atom_site_fract_y
_atom_site_fract_z
Li1 Li 0.000 0.000 0.000
Li2 Li 0.006 0.985 0.500
Li3 Li 0.334 0.321 0.898
Li4 Li 0.663 0.661 0.401
V1 V 0.170 0.651 0.217
V2 V 0.173 0.171 0.224
V3 V 0.341 0.323 0.495
V4 V 0.350 0.812 0.725
V5 V 0.671 0.659 0.995
Fe1 Fe 0.663 0.161 0.217
Fe2 Fe 0.831 0.821 0.717
Fe3 Fe 0.834 0.328 0.717
O1 O 0.001 0.003 0.311
O2 O 0.011 0.982 0.811
O3 O 0.037 0.467 0.350
O4 O 0.172 0.658 0.604
O5 O 0.182 0.158 0.598
O6 O 0.339 0.309 0.107
O7 O 0.347 0.820 0.100
O8 O 0.483 0.030 0.346
O9 O 0.485 0.462 0.348
O10 O 0.513 0.517 0.851
O11 O 0.521 0.951 0.845
O12 O 0.657 0.666 0.609
O13 O 0.674 0.153 0.605
O14 O 0.837 0.827 0.105
O15 O 0.839 0.326 0.102
O16 O 0.956 0.521 0.848
```

Most intense lines, 15 to 90 degrees two-theta, by angle:
d (Å)	intensity
4.749	100
4.518	60
4.494	52
4.416	45
2.498	26
2.483	25
2.451	28
2.247	22
1.992	50
1.533	25